Calculated powder diffractogram
Compound: Sb2As2Br
Radiation: copper Kα
Structure: a GGA-PBE-relaxed structure
Peak positions follow from Bragg's law for the DFT cell and can differ from measured ones.

Crystal structure
```
Sb2As2Br
1.0
4.633 0.000 0.000
0.000 4.633 0.000
0.000 0.000 13.500
Sb As Br
4 4 2
direct
0.000 0.000 0.133
0.000 0.000 0.867
0.500 0.500 0.367
0.500 0.500 0.633
0.000 0.500 0.250
0.000 0.500 0.750
0.500 0.000 0.250
0.500 0.000 0.750
0.000 0.000 0.500
0.500 0.500 0.000
```

Main lines, by intensity (2θ from 10° to 80°):
27.63°, I 100
38.88°, I 60
38.29°, I 53
30.33°, I 47
48.36°, I 42
49.12°, I 25

=====

Calculated powder diffractogram
Compound: Er5Bi5C
Radiation: copper Kα
Structure: a GGA-PBE-relaxed structure
Peak positions follow from Bragg's law for the DFT cell and can differ from measured ones.

Crystal structure
```
Er5Bi5C
1.0
6.433 -3.006 0.000
6.433 3.006 0.000
-4.056 0.000 8.212
Er Bi C
5 5 1
direct
0.000 0.000 0.000
0.349 0.349 0.725
0.355 0.355 0.101
0.645 0.645 0.899
0.651 0.651 0.275
0.114 0.114 0.762
0.215 0.215 0.336
0.500 0.500 0.500
0.785 0.785 0.664
0.886 0.886 0.238
0.500 0.500 0.000
```

Main lines, by intensity (2θ from 10° to 80°):
29.72°, I 100
33.30°, I 74
33.60°, I 54
28.90°, I 51
41.93°, I 38
31.86°, I 34

=====

Calculated powder diffractogram
Compound: Ca4Pb5
Radiation: copper Kα
Structure: a GGA-PBE-relaxed structure
Peak positions follow from Bragg's law for the DFT cell and can differ from measured ones.

Crystal structure
```
Ca4Pb5
1.0
9.646 0.000 0.000
-4.823 8.354 0.000
0.000 0.000 6.919
Ca Pb
8 10
direct
0.000 0.000 0.000
0.000 0.000 0.500
0.000 0.363 0.250
0.000 0.637 0.750
0.363 0.000 0.250
0.363 0.363 0.750
0.637 0.000 0.750
0.637 0.637 0.250
0.000 0.307 0.750
0.000 0.693 0.250
0.307 0.000 0.750
0.307 0.307 0.250
0.333 0.667 0.000
0.333 0.667 0.500
0.667 0.333 0.000
0.667 0.333 0.500
0.693 0.000 0.250
0.693 0.693 0.750
```

Main lines, by intensity (2θ from 10° to 80°):
31.83°, I 100
32.15°, I 95
22.47°, I 59
45.87°, I 35
57.11°, I 33
63.29°, I 27

=====

Calculated powder diffractogram
Compound: Sm3ErBi3
Radiation: copper Kα
Structure: a GGA-PBE-relaxed structure
Peak positions follow from Bragg's law for the DFT cell and can differ from measured ones.

Crystal structure
```
Sm3ErBi3
1.0
4.610 2.661 6.378
-4.610 2.661 6.378
0.000 -5.323 6.378
Sm Er Bi
6 2 6
direct
0.086 0.825 0.340
0.175 0.660 0.914
0.340 0.086 0.825
0.660 0.914 0.175
0.825 0.340 0.086
0.914 0.175 0.660
0.333 0.333 0.333
0.667 0.667 0.667
0.079 0.475 0.691
0.309 0.921 0.525
0.475 0.691 0.079
0.525 0.309 0.921
0.691 0.079 0.475
0.921 0.525 0.309
```

Main lines, by intensity (2θ from 10° to 80°):
34.19°, I 100
31.07°, I 81
33.68°, I 79
27.98°, I 62
35.16°, I 54
29.98°, I 51

=====

Calculated powder diffractogram
Compound: InCuPO5
Radiation: copper Kα
Structure: a GGA-PBE-relaxed structure
Peak positions follow from Bragg's law for the DFT cell and can differ from measured ones.

Crystal structure
```
InCuPO5
1.0
7.964 0.000 0.000
0.000 6.713 0.000
0.000 0.000 7.354
In Cu P O
4 4 4 20
direct
0.177 0.250 0.211
0.323 0.750 0.711
0.677 0.250 0.289
0.823 0.750 0.789
0.000 0.000 0.500
0.000 0.500 0.500
0.500 0.000 0.000
0.500 0.500 0.000
0.105 0.750 0.140
0.395 0.250 0.640
0.605 0.750 0.360
0.895 0.250 0.860
0.067 0.750 0.625
0.068 0.250 0.950
0.122 0.564 0.268
0.122 0.936 0.268
0.247 0.250 0.507
0.253 0.750 0.007
0.378 0.064 0.768
0.378 0.436 0.768
0.432 0.750 0.450
0.433 0.250 0.125
0.567 0.750 0.875
0.568 0.250 0.550
0.622 0.564 0.232
0.622 0.936 0.232
0.747 0.250 0.993
0.753 0.750 0.493
0.878 0.064 0.732
0.878 0.436 0.732
0.932 0.750 0.050
0.933 0.250 0.375
```

Main lines, by intensity (2θ from 10° to 80°):
25.44°, I 100
17.89°, I 80
31.38°, I 67
33.16°, I 41
28.76°, I 40
34.96°, I 39

=====

Calculated powder diffractogram
Compound: Th3TlH3
Radiation: copper Kα
Structure: a GGA-PBE-relaxed structure
Peak positions follow from Bragg's law for the DFT cell and can differ from measured ones.

Crystal structure
```
Th3TlH3
1.0
6.532 0.000 0.000
0.000 6.532 0.000
0.000 0.000 6.532
Th Tl H
6 2 6
direct
0.000 0.250 0.500
0.000 0.750 0.500
0.250 0.500 0.000
0.500 0.000 0.250
0.500 0.000 0.750
0.750 0.500 0.000
0.000 0.000 0.000
0.500 0.500 0.500
0.000 0.500 0.250
0.000 0.500 0.750
0.250 0.000 0.500
0.500 0.250 0.000
0.500 0.750 0.000
0.750 0.000 0.500
```

Main lines, by intensity (2θ from 10° to 80°):
30.61°, I 100
33.61°, I 72
52.41°, I 42
27.31°, I 31
50.37°, I 26
65.49°, I 24

=====

Calculated powder diffractogram
Compound: MgS5Cl
Radiation: copper Kα
Structure: a GGA-PBE-relaxed structure
Peak positions follow from Bragg's law for the DFT cell and can differ from measured ones.

Crystal structure
```
MgS5Cl
1.0
5.131 0.000 0.000
0.000 21.884 0.000
-1.511 0.000 3.944
Mg S Cl
2 10 2
direct
0.000 0.000 0.000
0.500 0.500 0.000
0.000 0.757 0.000
0.092 0.428 0.816
0.156 0.698 0.735
0.344 0.198 0.265
0.408 0.928 0.184
0.500 0.257 0.000
0.592 0.928 0.816
0.656 0.198 0.735
0.844 0.698 0.265
0.908 0.428 0.184
0.000 0.052 0.500
0.500 0.552 0.500
```

Main lines, by intensity (2θ from 10° to 80°):
22.20°, I 100
16.20°, I 62
31.27°, I 24
49.63°, I 16
34.48°, I 13
23.97°, I 11

=====

Calculated powder diffractogram
Compound: Tl2TcClF5
Radiation: copper Kα
Structure: a GGA-PBE-relaxed structure
Peak positions follow from Bragg's law for the DFT cell and can differ from measured ones.

Crystal structure
```
Tl2TcClF5
1.0
-3.283 3.283 4.353
3.283 -3.283 4.353
3.283 3.283 -4.353
Tl Tc Cl F
2 1 1 5
direct
0.000 0.500 0.500
0.500 0.000 0.500
0.258 0.258 0.000
0.530 0.530 0.000
0.032 0.032 0.000
0.044 0.044 0.576
0.044 0.468 0.000
0.468 0.044 0.000
0.468 0.468 0.424
```

Main lines, by intensity (2θ from 10° to 80°):
28.10°, I 100
27.16°, I 63
34.21°, I 53
48.58°, I 43
38.79°, I 40
19.12°, I 32

=====

Calculated powder diffractogram
Compound: Y2Al3Co14
Radiation: copper Kα
Structure: a GGA-PBE-relaxed structure
Peak positions follow from Bragg's law for the DFT cell and can differ from measured ones.

Crystal structure
```
Y2Al3Co14
1.0
8.374 0.000 0.000
-4.187 7.252 0.000
0.000 0.000 8.176
Y Al Co
4 6 28
direct
0.000 0.000 0.250
0.000 0.000 0.750
0.333 0.667 0.250
0.667 0.333 0.750
0.000 0.500 0.000
0.000 0.500 0.500
0.500 0.000 0.000
0.500 0.000 0.500
0.500 0.500 0.000
0.500 0.500 0.500
0.046 0.373 0.750
0.046 0.674 0.750
0.163 0.326 0.015
0.163 0.326 0.485
0.163 0.837 0.015
0.163 0.837 0.485
0.326 0.163 0.515
0.326 0.163 0.985
0.326 0.373 0.750
0.326 0.954 0.750
0.333 0.667 0.610
0.333 0.667 0.890
0.373 0.046 0.250
0.373 0.326 0.250
0.627 0.674 0.750
0.627 0.954 0.750
0.667 0.333 0.110
0.667 0.333 0.390
0.674 0.046 0.250
0.674 0.627 0.250
0.674 0.837 0.015
0.674 0.837 0.485
0.837 0.163 0.515
0.837 0.163 0.985
0.837 0.674 0.515
0.837 0.674 0.985
0.954 0.326 0.250
0.954 0.627 0.250
```

Main lines, by intensity (2θ from 10° to 80°):
43.49°, I 100
43.22°, I 52
37.20°, I 44
41.45°, I 40
48.88°, I 36
44.32°, I 33

=====

Calculated powder diffractogram
Compound: Ta2ZnPd8
Radiation: copper Kα
Structure: a GGA-PBE-relaxed structure
Peak positions follow from Bragg's law for the DFT cell and can differ from measured ones.

Crystal structure
```
Ta2ZnPd8
1.0
-2.258 2.896 6.691
2.258 -2.896 6.691
2.258 2.896 -6.691
Ta Zn Pd
2 1 8
direct
0.188 0.188 0.000
0.812 0.812 0.000
0.500 0.500 0.000
0.095 0.359 0.736
0.238 0.000 0.238
0.319 0.819 0.500
0.376 0.641 0.736
0.624 0.359 0.264
0.681 0.181 0.500
0.762 0.000 0.762
0.905 0.641 0.264
```

Main lines, by intensity (2θ from 10° to 80°):
42.24°, I 100
39.93°, I 34
39.12°, I 26
78.45°, I 20
74.11°, I 18
40.44°, I 18

=====

Calculated powder diffractogram
Compound: Sc2Al5Au3
Radiation: copper Kα
Structure: a GGA-PBE-relaxed structure
Peak positions follow from Bragg's law for the DFT cell and can differ from measured ones.

Crystal structure
```
Sc2Al5Au3
1.0
-5.560 5.723 2.950
5.560 -5.723 2.950
5.560 5.723 -2.950
Sc Al Au
4 10 6
direct
0.131 0.236 0.367
0.369 0.736 0.105
0.631 0.264 0.895
0.869 0.764 0.633
0.007 0.750 0.257
0.113 0.648 0.761
0.250 0.250 0.000
0.387 0.148 0.535
0.493 0.750 0.743
0.507 0.250 0.257
0.613 0.852 0.465
0.750 0.750 0.000
0.887 0.352 0.239
0.993 0.250 0.743
0.130 0.865 0.994
0.250 0.750 0.500
0.370 0.365 0.735
0.630 0.635 0.265
0.750 0.250 0.500
0.870 0.135 0.006
```

Main lines, by intensity (2θ from 10° to 80°):
23.08°, I 100
44.09°, I 99
25.26°, I 91
23.32°, I 90
24.67°, I 85
32.35°, I 78

=====

Calculated powder diffractogram
Compound: UPd6Pb
Radiation: copper Kα
Structure: a GGA-PBE-relaxed structure
Peak positions follow from Bragg's law for the DFT cell and can differ from measured ones.

Crystal structure
```
UPd6Pb
1.0
4.133 0.000 0.000
0.000 4.133 0.000
0.000 0.000 8.240
U Pd Pb
1 6 1
direct
0.000 0.000 0.000
0.000 0.500 0.242
0.000 0.500 0.758
0.500 0.000 0.242
0.500 0.000 0.758
0.500 0.500 0.000
0.500 0.500 0.500
0.000 0.000 0.500
```

Main lines, by intensity (2θ from 10° to 80°):
37.74°, I 100
43.81°, I 33
76.45°, I 26
63.79°, I 21
43.95°, I 16
76.66°, I 12